This entry pairs a crystal structure of TmUS3 with its computed powder diffraction line list. Radiation: a wavelength of 1.5418 Å. Structure: a cell relaxed with PBE.
Neutral-atom scattering factors, no anomalous dispersion.

Largest 10 diffraction maxima, low angle first, 2θ from 10° to 90°:
- (1 0 0), 2θ = 14.72°, d = 6.019 Å, I = 100
- (1 1 0), 2θ = 25.63°, d = 3.475 Å, I = 66
- (1 0 2), 2θ = 29.90°, d = 2.989 Å, I = 24
- (1 1 2), 2θ = 36.74°, d = 2.446 Å, I = 82
- (2 1 0), 2θ = 39.61°, d = 2.275 Å, I = 16
- (2 0 2), 2θ = 39.78°, d = 2.266 Å, I = 23
- (3 0 0), 2θ = 45.19°, d = 2.006 Å, I = 23
- (3 0 2), 2θ = 52.81°, d = 1.734 Å, I = 19
- (2 2 2), 2θ = 59.60°, d = 1.551 Å, I = 17
- (4 1 2), 2θ = 77.83°, d = 1.227 Å, I = 17

```
10
Lattice="6.951 0.000 0.000 -3.475 6.019 0.000 0.000 0.000 6.886" Properties=species:S:1:pos:R:3 pbc="T T T"
Tm 0.000 0.000 0.000
Tm 0.000 0.000 3.443
U 0.000 4.013 0.000
U 0.000 4.013 3.443
S -0.656 1.977 1.722
S -2.091 4.462 5.165
S 0.656 1.977 5.165
S -1.435 5.599 1.722
S 2.091 4.462 1.722
S 1.435 5.599 5.165
```